The following is a simulated X-ray powder pattern of AlVW2O8. It was derived from a structure optimized by DFT (PBE+U), using copper Kα.
Neutral-atom scattering factors, no anomalous dispersion.

Atomic structure:
```
AlVW2O8
1.0
5.138 0.000 0.000
0.000 5.550 0.000
-0.055 0.000 9.203
Al V W O
2 2 4 16
Direct
0.000 0.000 0.000
0.500 0.310 0.500
0.000 0.015 0.500
0.500 0.296 0.000
0.004 0.492 0.749
0.496 0.819 0.751
0.504 0.819 0.249
0.996 0.492 0.251
0.148 0.271 0.885
0.158 0.776 0.360
0.167 0.778 0.869
0.182 0.281 0.393
0.317 0.028 0.107
0.334 0.532 0.631
0.343 0.533 0.141
0.353 0.041 0.616
0.647 0.041 0.384
0.657 0.533 0.859
0.666 0.532 0.369
0.683 0.028 0.893
0.818 0.281 0.607
0.833 0.778 0.131
0.842 0.776 0.640
0.852 0.271 0.115
```

Top 12 peaks for 2θ = 10–90°, low angle first:
2θ/deg, I (rel.)
15.97, 33
19.29, 89
23.60, 86
25.14, 78
30.59, 100
30.72, 99
34.93, 38
36.81, 49
40.10, 29
41.94, 40
53.34, 50
54.74, 30



The following is a simulated X-ray powder pattern of AlVW2O8. It was derived from a structure optimized by DFT (PBE+U), using copper Kα.
Neutral-atom scattering factors, no anomalous dispersion.

Atomic structure:
```
AlVW2O8
1.0
4.969 0.000 0.000
0.065 5.464 0.000
1.827 1.695 4.994
Al V W O
1 1 2 8
Direct
0.000 0.000 0.000
0.500 0.500 0.000
0.244 0.679 0.515
0.756 0.321 0.485
0.176 0.423 0.324
0.176 0.940 0.245
0.264 0.780 0.816
0.331 0.318 0.756
0.669 0.682 0.244
0.736 0.220 0.184
0.824 0.060 0.755
0.824 0.577 0.676
```

Top 12 peaks for 2θ = 10–90°, low angle first:
2θ/deg, I (rel.)
17.14, 49
17.76, 100
24.37, 38
24.77, 38
26.95, 81
29.74, 56
30.90, 57
33.50, 28
33.98, 43
36.50, 27
38.54, 26
44.33, 31



The following is a simulated X-ray powder pattern of AlWO4. It was derived from a structure optimized by DFT (PBE+U), using copper Kα.
Neutral-atom scattering factors, no anomalous dispersion.

Atomic structure:
```
AlWO4
1.0
4.625 -2.906 0.000
4.625 2.906 0.000
-0.190 0.000 4.627
Al W O
2 2 8
Direct
0.240 0.240 0.010
0.760 0.760 0.990
0.271 0.729 0.500
0.729 0.271 0.500
0.097 0.097 0.300
0.103 0.593 0.195
0.385 0.385 0.722
0.407 0.897 0.805
0.593 0.103 0.195
0.615 0.615 0.278
0.897 0.407 0.805
0.903 0.903 0.700
```

Top 12 peaks for 2θ = 10–90°, low angle first:
2θ/deg, I (rel.)
19.19, 100
26.70, 48
27.84, 43
30.77, 16
36.52, 61
38.95, 18
41.18, 28
44.52, 19
50.44, 17
53.81, 26
55.05, 23
55.11, 13



The following is a simulated X-ray powder pattern of Al2W3O12. It was derived from a structure optimized by DFT (PBE+U), using copper Kα.
Neutral-atom scattering factors, no anomalous dispersion.

Atomic structure:
```
Al2W3O12
1.0
4.630 0.000 0.000
0.171 5.493 0.000
0.240 0.385 7.586
Al W O
2 3 12
Direct
0.002 0.154 0.338
0.998 0.846 0.662
0.498 0.354 0.679
0.500 0.000 0.000
0.502 0.646 0.321
0.198 0.864 0.436
0.203 0.564 0.739
0.210 0.159 0.127
0.288 0.053 0.768
0.302 0.365 0.436
0.338 0.689 0.097
0.662 0.311 0.903
0.698 0.635 0.564
0.712 0.947 0.232
0.790 0.841 0.873
0.797 0.436 0.261
0.802 0.136 0.564
```

Top 12 peaks for 2θ = 10–90°, low angle first:
2θ/deg, I (rel.)
19.19, 100
19.48, 92
26.87, 70
28.07, 60
29.30, 33
35.13, 27
35.37, 51
35.50, 25
40.12, 27
40.23, 26
53.34, 21
54.54, 20



The following is a simulated X-ray powder pattern of AlWO4. It was derived from a structure optimized by DFT (PBE+U), using copper Kα.
Neutral-atom scattering factors, no anomalous dispersion.

Atomic structure:
```
AlWO4
1.0
6.382 0.000 0.000
0.000 6.439 0.000
0.000 0.000 3.090
Al W O
2 2 8
Direct
0.000 0.000 0.000
0.500 0.500 0.000
0.000 0.500 0.500
0.500 0.000 0.500
0.000 0.295 0.000
0.000 0.705 0.000
0.194 0.000 0.500
0.306 0.500 0.500
0.500 0.205 0.000
0.500 0.795 0.000
0.694 0.500 0.500
0.806 0.000 0.500
```

Top 12 peaks for 2θ = 10–90°, low angle first:
2θ/deg, I (rel.)
19.59, 100
27.71, 44
27.96, 45
28.89, 20
35.15, 73
39.77, 18
40.46, 32
44.87, 19
49.90, 19
53.96, 30
54.25, 31
69.22, 18